Diffraction record for Li2FeP8O24. The XRD peak list is simulated, not measured: it uses the GGA+U geometry in Alexandria and Cu Ka.
Lines closer than 0.1° are merged.

Cell and atoms:
Cell lengths 7.175, 7.438, 10.060 Å; angles 99.81, 108.22, 107.82 degrees
Positions (direct):
Li: 0.000 0.000 0.000
Li: 0.149 0.949 0.741
Fe: 0.454 0.007 0.548
P: 0.197 0.302 0.573
P: 0.242 0.691 0.961
P: 0.467 0.285 0.303
P: 0.491 0.716 0.766
P: 0.722 0.722 0.455
P: 0.728 0.317 0.120
P: 0.953 0.277 0.770
P: 0.977 0.753 0.265
O: 0.038 0.487 0.891
O: 0.040 0.340 0.649
O: 0.043 0.141 0.833
O: 0.098 0.272 0.413
O: 0.178 0.855 0.920
O: 0.182 0.814 0.395
O: 0.266 0.211 0.171
O: 0.269 0.142 0.621
O: 0.346 0.719 0.122
O: 0.392 0.650 0.880
O: 0.396 0.851 0.696
O: 0.402 0.507 0.644
O: 0.484 0.175 0.416
O: 0.526 0.511 0.384
O: 0.548 0.306 0.987
O: 0.623 0.869 0.484
O: 0.668 0.297 0.258
O: 0.714 0.215 0.707
O: 0.726 0.788 0.832
O: 0.784 0.746 0.315
O: 0.799 0.156 0.070
O: 0.904 0.724 0.578
O: 0.922 0.524 0.186
O: 0.968 0.860 0.152

Most intense lines, 2θ = 5–70°, most intense first:
hkl	2θ/deg	d_spacing	Rel. int.
1 1 1	28.21	3.163	100.0
1 -1 1	18.84	4.711	90.1
0 1 -2	20.00	4.439	56.7
0 2 0	26.33	3.385	42.2
1 1 -3	28.77	3.103	41.1
0 0 1	9.68	9.133	29.0
1 -2 1	25.67	3.471	28.4
2 0 -2	27.47	3.247	23.4
-1 1 1	17.06	5.196	22.4
-1 2 1	27.35	3.261	12.8
1 0 -3	27.13	3.287	12.4
-3 1 1	37.71	2.385	11.1